1.
Simulated powder XRD pattern of Th2Rh4Au for CuKα, from a DFT-relaxed cell (GGA-PBE, Alexandria).

Main lines, in order of falling intensity (2θ from 15° to 90°):
2θ = 37.91°, intensity 100; 2θ = 26.53°, intensity 18; 2θ = 43.98°, intensity 18; 2θ = 44.73°, intensity 17; 2θ = 43.48°, intensity 14; 2θ = 76.81°, intensity 13; 2θ = 34.15°, intensity 13; 2θ = 77.89°, intensity 12; 2θ = 64.53°, intensity 11; 2θ = 81.04°, intensity 9

```
data_Th2Rh4Au
_chemical_formula_sum 'Th2 Rh4 Au1'
_space_group_name_H-M_alt 'P 1'
_space_group_IT_number 1
_cell_length_a 5.8096
_cell_length_b 5.8096
_cell_length_c 4.1180
_cell_angle_alpha 90.00
_cell_angle_beta 90.00
_cell_angle_gamma 91.54
loop_
_space_group_symop_operation_xyz
'x,y,z'
loop_
_atom_site_label
_atom_site_type_symbol
_atom_site_fract_x
_atom_site_fract_y
_atom_site_fract_z
_atom_site_occupancy
Th1 Th 0.2189 0.7811 0.0000 1
Th2 Th 0.7811 0.2189 0.0000 1
Rh1 Rh 0.0000 0.5000 0.5000 1
Rh2 Rh 0.2571 0.2571 0.0000 1
Rh3 Rh 0.5000 0.0000 0.5000 1
Rh4 Rh 0.7429 0.7429 0.0000 1
Au1 Au 0.5000 0.5000 0.5000 1
```

2.
Simulated powder XRD pattern of SiO2 for CuKα, from a DFT-relaxed cell (GGA-PBE, Alexandria).

Main lines, in order of falling intensity (2θ from 15° to 90°):
2θ = 20.17°, intensity 100; 2θ = 21.11°, intensity 85; 2θ = 22.79°, intensity 56; 2θ = 19.96°, intensity 46; 2θ = 35.06°, intensity 36; 2θ = 22.60°, intensity 28; 2θ = 38.03°, intensity 24; 2θ = 29.36°, intensity 20; 2θ = 58.69°, intensity 16; 2θ = 52.86°, intensity 10

```
data_SiO2
_chemical_formula_sum 'Si4 O8'
_space_group_name_H-M_alt 'P 1'
_space_group_IT_number 1
_cell_length_a 8.4175
_cell_length_b 5.1200
_cell_length_c 5.1200
_cell_angle_alpha 120.68
_cell_angle_beta 90.00
_cell_angle_gamma 90.00
loop_
_space_group_symop_operation_xyz
'x,y,z'
loop_
_atom_site_label
_atom_site_type_symbol
_atom_site_fract_x
_atom_site_fract_y
_atom_site_fract_z
_atom_site_occupancy
Si1 Si 0.0626 0.1650 0.8350 1
Si2 Si 0.4374 0.1650 0.8350 1
Si3 Si 0.5626 0.8350 0.1650 1
Si4 Si 0.9374 0.8350 0.1650 1
O1 O 0.0000 0.9088 0.9088 1
O2 O 0.0370 0.0408 0.4760 1
O3 O 0.2500 0.2332 0.9160 1
O4 O 0.4630 0.0408 0.4760 1
O5 O 0.5000 0.9088 0.9088 1
O6 O 0.5370 0.4760 0.0408 1
O7 O 0.7500 0.9160 0.2332 1
O8 O 0.9630 0.4760 0.0408 1
```

3.
Simulated powder XRD pattern of Ca2PmPr2Y6 for CuKα, from a DFT-relaxed cell (GGA-PBE, Alexandria).

Main lines, in order of falling intensity (2θ from 15° to 90°):
2θ = 30.32°, intensity 100; 2θ = 34.63°, intensity 68; 2θ = 29.74°, intensity 51; 2θ = 30.15°, intensity 50; 2θ = 50.22°, intensity 35; 2θ = 35.53°, intensity 32; 2θ = 50.73°, intensity 23; 2θ = 60.61°, intensity 15; 2θ = 59.52°, intensity 15; 2θ = 28.62°, intensity 14

```
data_Ca2PmPr2Y6
_chemical_formula_sum 'Ca2 Pm1 Pr2 Y6'
_space_group_name_H-M_alt 'P 1'
_space_group_IT_number 1
_cell_length_a 6.2699
_cell_length_b 6.2699
_cell_length_c 12.2532
_cell_angle_alpha 95.58
_cell_angle_beta 95.58
_cell_angle_gamma 120.53
loop_
_space_group_symop_operation_xyz
'x,y,z'
loop_
_atom_site_label
_atom_site_type_symbol
_atom_site_fract_x
_atom_site_fract_y
_atom_site_fract_z
_atom_site_occupancy
Ca1 Ca 0.1640 0.8360 0.0000 1
Ca2 Ca 0.8360 0.1640 0.0000 1
Pm1 Pm 0.0000 0.0000 0.5000 1
Pr1 Pr 0.3329 0.6671 0.5000 1
Pr2 Pr 0.6671 0.3329 0.5000 1
Y1 Y 0.0918 0.4236 0.7435 1
Y2 Y 0.2420 0.2420 0.2611 1
Y3 Y 0.4236 0.0918 0.7435 1
Y4 Y 0.5764 0.9082 0.2565 1
Y5 Y 0.7580 0.7580 0.7389 1
Y6 Y 0.9082 0.5764 0.2565 1
```